Simulated powder diffraction line list
Compound: Ca5Pd
Radiation: λ = 1.5418 Å (Cu Kα)
Structure: DFT lattice parameters and positions (PBE)
Kinematic intensities with the Lorentz-polarization factor, no thermal factor.

Peak list (6 most intense, 2θ = 5–70°, in order of falling intensity)
two_theta  I (rel.)
30.7  100.0
10.8  31.7
30.9  27.4
32.8  19.7
18.8  18.7
54.8  17.9

Cell and atoms:
```
data_Ca5Pd
_chemical_formula_sum 'Ca5 Pd1'
_symmetry_space_group_name_H-M 'P 1'
_symmetry_Int_Tables_number 1
_cell_length_a 8.4687
_cell_length_b 8.4687
_cell_length_c 5.7884
_cell_angle_alpha 90.00
_cell_angle_beta 90.00
_cell_angle_gamma 150.70
loop_
_symmetry_equiv_pos_as_xyz
'x,y,z'
loop_
_atom_site_label
_atom_site_type_symbol
_atom_site_fract_x
_atom_site_fract_y
_atom_site_fract_z
Ca1 Ca 0.0000 0.0000 0.0000
Ca2 Ca 0.1322 0.8678 0.5000
Ca3 Ca 0.3332 0.6668 0.0000
Ca4 Ca 0.6668 0.3332 0.0000
Ca5 Ca 0.8678 0.1322 0.5000
Pd1 Pd 0.5000 0.5000 0.5000
```



Simulated powder diffraction line list
Compound: Ti9Zn2O13
Radiation: λ = 1.5418 Å (Cu Kα)
Structure: DFT lattice parameters and positions (PBE)
Kinematic intensities with the Lorentz-polarization factor, no thermal factor.

Peak list (6 most intense, 2θ = 5–70°, in order of falling intensity)
two_theta  I (rel.)
42.7  100.0
34.6  82.4
42.3  73.9
35.4  64.4
36.5  57.1
44.1  49.4

Cell and atoms:
```
data_Ti9Zn2O13
_chemical_formula_sum 'Ti9 Zn2 O13'
_symmetry_space_group_name_H-M 'P 1'
_symmetry_Int_Tables_number 1
_cell_length_a 5.1688
_cell_length_b 5.1688
_cell_length_c 16.7195
_cell_angle_alpha 99.49
_cell_angle_beta 99.49
_cell_angle_gamma 33.16
loop_
_symmetry_equiv_pos_as_xyz
'x,y,z'
loop_
_atom_site_label
_atom_site_type_symbol
_atom_site_fract_x
_atom_site_fract_y
_atom_site_fract_z
Ti1 Ti 0.0000 0.0000 0.0000
Ti2 Ti 0.1571 0.1571 0.5366
Ti3 Ti 0.2764 0.2764 0.9212
Ti4 Ti 0.4336 0.4336 0.6185
Ti5 Ti 0.4987 0.4987 0.8388
Ti6 Ti 0.5013 0.5013 0.1612
Ti7 Ti 0.5664 0.5664 0.3815
Ti8 Ti 0.7236 0.7236 0.0788
Ti9 Ti 0.8429 0.8429 0.4634
Zn1 Zn 0.2792 0.2792 0.2728
Zn2 Zn 0.7208 0.7208 0.7272
O1 O 0.0842 0.0842 0.6462
O2 O 0.1198 0.1198 0.1255
O3 O 0.1345 0.1345 0.8134
O4 O 0.2111 0.2111 0.4131
O5 O 0.3617 0.3617 0.0466
O6 O 0.3756 0.3756 0.7294
O7 O 0.5000 0.5000 0.5000
O8 O 0.6244 0.6244 0.2706
O9 O 0.6383 0.6383 0.9534
O10 O 0.7889 0.7889 0.5869
O11 O 0.8655 0.8655 0.1866
O12 O 0.8802 0.8802 0.8745
O13 O 0.9158 0.9158 0.3538
```



Simulated powder diffraction line list
Compound: KNdHfZrO6
Radiation: λ = 1.5418 Å (Cu Kα)
Structure: DFT lattice parameters and positions (PBE)
Kinematic intensities with the Lorentz-polarization factor, no thermal factor.

Peak list (6 most intense, 2θ = 5–70°, in order of falling intensity)
two_theta  I (rel.)
30.5  100.0
54.2  40.1
43.6  31.5
18.5  21.5
63.4  19.3
35.9  12.9

Cell and atoms:
```
data_KNdHfZrO6
_chemical_formula_sum 'K1 Nd1 Hf1 Zr1 O6'
_symmetry_space_group_name_H-M 'P 1'
_symmetry_Int_Tables_number 1
_cell_length_a 5.8664
_cell_length_b 5.8664
_cell_length_c 5.8664
_cell_angle_alpha 60.00
_cell_angle_beta 60.00
_cell_angle_gamma 60.00
loop_
_symmetry_equiv_pos_as_xyz
'x,y,z'
loop_
_atom_site_label
_atom_site_type_symbol
_atom_site_fract_x
_atom_site_fract_y
_atom_site_fract_z
K1 K 0.0000 0.0000 0.0000
Nd1 Nd 0.5000 0.5000 0.5000
Hf1 Hf 0.7500 0.7500 0.7500
Zr1 Zr 0.2500 0.2500 0.2500
O1 O 0.5018 0.5018 0.9982
O2 O 0.5018 0.9982 0.5018
O3 O 0.5018 0.9982 0.9982
O4 O 0.9982 0.5018 0.5018
O5 O 0.9982 0.5018 0.9982
O6 O 0.9982 0.9982 0.5018
```